# 1
This entry pairs a crystal structure of LuHgSO with its simulated powder XRD pattern. Radiation: Cu Kα (weighted mean of Kα1 and Kα2). Structure: DFT lattice parameters and positions (GGA-PBE).
Peak positions follow from Bragg's law for the DFT cell and can differ from measured ones.

Structure:
a = 7.1568 Å, b = 7.0180 Å, c = 6.4011 Å
α = 90.00°, β = 95.54°, γ = 90.00°
Atoms (fractional coordinates):
1 Lu 0.0219 0.1373 0.2926
2 Lu 0.0219 0.3627 0.7926
3 Lu 0.9781 0.6373 0.2074
4 Lu 0.9781 0.8627 0.7074
5 Hg 0.4686 0.6925 0.9969
6 Hg 0.4686 0.8075 0.4969
7 Hg 0.5314 0.1925 0.5031
8 Hg 0.5314 0.3075 0.0031
9 S 0.2458 0.0689 0.9613
10 S 0.2458 0.4311 0.4613
11 S 0.7542 0.5689 0.5387
12 S 0.7542 0.9311 0.0387
13 O 0.0963 0.6452 0.9142
14 O 0.0963 0.8548 0.4142
15 O 0.9037 0.1452 0.5858
16 O 0.9037 0.3548 0.0858

Peak list (6 most intense, 10° ≤ 2θ ≤ 80°, in order of falling intensity)
2theta	d/Å	Rel. int.
25.0	3.562	100
29.6	3.019	89
31.9	2.809	47
32.3	2.775	46
41.1	2.195	46
37.8	2.383	29


# 2
This entry pairs a crystal structure of LuReHg2 with its simulated powder XRD pattern. Radiation: Cu Kα (weighted mean of Kα1 and Kα2). Structure: DFT lattice parameters and positions (GGA-PBE).
Peak positions follow from Bragg's law for the DFT cell and can differ from measured ones.

Structure:
a = 6.8780 Å, b = 6.8780 Å, c = 6.8780 Å
α = 90.00°, β = 90.00°, γ = 90.00°
Atoms (fractional coordinates):
1 Lu 0.0000 0.0000 0.0000
2 Lu 0.0000 0.5000 0.5000
3 Lu 0.5000 0.0000 0.5000
4 Lu 0.5000 0.5000 0.0000
5 Re 0.2500 0.2500 0.7500
6 Re 0.2500 0.7500 0.2500
7 Re 0.7500 0.2500 0.2500
8 Re 0.7500 0.7500 0.7500
9 Hg 0.0000 0.0000 0.5000
10 Hg 0.0000 0.5000 0.0000
11 Hg 0.2500 0.2500 0.2500
12 Hg 0.2500 0.7500 0.7500
13 Hg 0.5000 0.0000 0.0000
14 Hg 0.5000 0.5000 0.5000
15 Hg 0.7500 0.2500 0.7500
16 Hg 0.7500 0.7500 0.2500

Peak list (4 most intense, 10° ≤ 2θ ≤ 80°, in order of falling intensity)
2theta	d/Å	Rel. int.
37.0	2.432	100
66.6	1.404	37
53.3	1.719	18
78.7	1.216	12


# 3
This entry pairs a crystal structure of LuSc2Hg with its simulated powder XRD pattern. Radiation: Cu Kα (weighted mean of Kα1 and Kα2). Structure: DFT lattice parameters and positions (GGA-PBE).
Peak positions follow from Bragg's law for the DFT cell and can differ from measured ones.

Structure:
a = 7.2016 Å, b = 7.2016 Å, c = 7.2016 Å
α = 90.00°, β = 90.00°, γ = 90.00°
Atoms (fractional coordinates):
1 Lu 0.0000 0.0000 0.0000
2 Lu 0.0000 0.5000 0.5000
3 Lu 0.5000 0.0000 0.5000
4 Lu 0.5000 0.5000 0.0000
5 Sc 0.0000 0.0000 0.5000
6 Sc 0.0000 0.5000 0.0000
7 Sc 0.2500 0.2500 0.7500
8 Sc 0.2500 0.7500 0.2500
9 Sc 0.5000 0.0000 0.0000
10 Sc 0.5000 0.5000 0.5000
11 Sc 0.7500 0.2500 0.2500
12 Sc 0.7500 0.7500 0.7500
13 Hg 0.2500 0.2500 0.2500
14 Hg 0.2500 0.7500 0.7500
15 Hg 0.7500 0.2500 0.7500
16 Hg 0.7500 0.7500 0.2500

Peak list (6 most intense, 10° ≤ 2θ ≤ 80°, in order of falling intensity)
2theta	d/Å	Rel. int.
35.2	2.546	100
21.4	4.158	43
63.3	1.470	36
41.6	2.171	25
50.7	1.800	18
74.5	1.273	11


# 4
This entry pairs a crystal structure of Tm6LuHg with its simulated powder XRD pattern. Radiation: Cu Kα (weighted mean of Kα1 and Kα2). Structure: DFT lattice parameters and positions (GGA-PBE).
Peak positions follow from Bragg's law for the DFT cell and can differ from measured ones.

Structure:
a = 6.9294 Å, b = 6.9294 Å, c = 5.4593 Å
α = 90.00°, β = 90.00°, γ = 120.00°
Atoms (fractional coordinates):
1 Tm 0.0041 0.5021 0.0000
2 Tm 0.3251 0.1626 0.5000
3 Tm 0.4979 0.5021 0.0000
4 Tm 0.4979 0.9959 0.0000
5 Tm 0.8374 0.1626 0.5000
6 Tm 0.8374 0.6749 0.5000
7 Lu 0.0000 0.0000 0.0000
8 Hg 0.3333 0.6667 0.5000

Peak list (6 most intense, 10° ≤ 2θ ≤ 80°, in order of falling intensity)
2theta	d/Å	Rel. int.
34.1	2.630	100
32.8	2.730	25
29.8	3.001	24
63.6	1.463	22
59.4	1.556	21
52.8	1.732	19


# 5
This entry pairs a crystal structure of Mg3Hg with its simulated powder XRD pattern. Radiation: Cu Kα (weighted mean of Kα1 and Kα2). Structure: DFT lattice parameters and positions (GGA-PBE).
Peak positions follow from Bragg's law for the DFT cell and can differ from measured ones.

Structure:
a = 11.2910 Å, b = 11.2910 Å, c = 5.5958 Å
α = 90.00°, β = 90.00°, γ = 90.00°
Atoms (fractional coordinates):
1 Mg 0.0443 0.0443 0.2500
2 Mg 0.0443 0.4557 0.7500
3 Mg 0.1065 0.7500 0.0000
4 Mg 0.1574 0.1574 0.7500
5 Mg 0.1574 0.3426 0.2500
6 Mg 0.2500 0.6065 0.5000
7 Mg 0.2500 0.8935 0.5000
8 Mg 0.3426 0.1574 0.2500
9 Mg 0.3426 0.3426 0.7500
10 Mg 0.3935 0.7500 0.0000
11 Mg 0.4557 0.0443 0.7500
12 Mg 0.4557 0.4557 0.2500
13 Mg 0.5443 0.5443 0.7500
14 Mg 0.5443 0.9557 0.2500
15 Mg 0.6065 0.2500 0.0000
16 Mg 0.6574 0.6574 0.2500
17 Mg 0.6574 0.8426 0.7500
18 Mg 0.7500 0.1065 0.5000
19 Mg 0.7500 0.3935 0.5000
20 Mg 0.8426 0.6574 0.7500
21 Mg 0.8426 0.8426 0.2500
22 Mg 0.8935 0.2500 0.0000
23 Mg 0.9557 0.5443 0.2500
24 Mg 0.9557 0.9557 0.7500
25 Hg 0.0395 0.7500 0.5000
26 Hg 0.2500 0.5395 0.0000
27 Hg 0.2500 0.9605 0.0000
28 Hg 0.4605 0.7500 0.5000
29 Hg 0.5395 0.2500 0.5000
30 Hg 0.7500 0.0395 0.0000
31 Hg 0.7500 0.4605 0.0000
32 Hg 0.9605 0.2500 0.5000

Peak list (6 most intense, 10° ≤ 2θ ≤ 80°, in order of falling intensity)
2theta	d/Å	Rel. int.
22.4	3.974	100
22.3	3.992	43
39.1	2.301	38
39.3	2.291	34
49.8	1.830	20
33.7	2.661	19


# 6
This entry pairs a crystal structure of MgHg2 with its simulated powder XRD pattern. Radiation: Cu Kα (weighted mean of Kα1 and Kα2). Structure: DFT lattice parameters and positions (GGA-PBE).
Peak positions follow from Bragg's law for the DFT cell and can differ from measured ones.

Structure:
a = 3.8551 Å, b = 3.8551 Å, c = 8.8413 Å
α = 90.00°, β = 90.00°, γ = 90.00°
Atoms (fractional coordinates):
1 Mg 0.0000 0.0000 0.0000
2 Mg 0.5000 0.5000 0.5000
3 Hg 0.0000 0.0000 0.3332
4 Hg 0.0000 0.0000 0.6668
5 Hg 0.5000 0.5000 0.1668
6 Hg 0.5000 0.5000 0.8332

Peak list (6 most intense, 10° ≤ 2θ ≤ 80°, in order of falling intensity)
2theta	d/Å	Rel. int.
38.4	2.341	100
32.9	2.726	76
62.4	1.488	49
25.2	3.534	49
47.2	1.928	28
20.1	4.421	21


# 7
This entry pairs a crystal structure of Mg7Hg with its simulated powder XRD pattern. Radiation: Cu Kα (weighted mean of Kα1 and Kα2). Structure: DFT lattice parameters and positions (GGA-PBE).
Peak positions follow from Bragg's law for the DFT cell and can differ from measured ones.

Structure:
a = 6.3330 Å, b = 6.3330 Å, c = 5.0501 Å
α = 90.00°, β = 90.00°, γ = 120.00°
Atoms (fractional coordinates):
1 Mg 0.0000 0.0000 0.0000
2 Mg 0.0024 0.5012 0.0000
3 Mg 0.3312 0.1656 0.5000
4 Mg 0.4988 0.5012 0.0000
5 Mg 0.4988 0.9976 0.0000
6 Mg 0.8344 0.1656 0.5000
7 Mg 0.8344 0.6688 0.5000
8 Hg 0.3333 0.6667 0.5000

Peak list (6 most intense, 10° ≤ 2θ ≤ 80°, in order of falling intensity)
2theta	d/Å	Rel. int.
37.3	2.410	100
16.2	5.485	97
24.0	3.715	79
32.7	2.742	36
33.4	2.683	35
47.4	1.918	28


# 8
This entry pairs a crystal structure of Mg2Hg with its simulated powder XRD pattern. Radiation: Cu Kα (weighted mean of Kα1 and Kα2). Structure: DFT lattice parameters and positions (GGA-PBE).
Peak positions follow from Bragg's law for the DFT cell and can differ from measured ones.

Structure:
a = 8.1937 Å, b = 5.1285 Å, c = 12.5770 Å
α = 90.00°, β = 101.14°, γ = 90.00°
Atoms (fractional coordinates):
1 Mg 0.0245 0.2500 0.3158
2 Mg 0.0508 0.2500 0.0677
3 Mg 0.0721 0.2500 0.5729
4 Mg 0.0749 0.2500 0.8212
5 Mg 0.2663 0.7500 0.3414
6 Mg 0.2801 0.7500 0.1047
7 Mg 0.3919 0.2500 0.4807
8 Mg 0.3933 0.2500 0.9932
9 Mg 0.6067 0.7500 0.0068
10 Mg 0.6081 0.7500 0.5193
11 Mg 0.7199 0.2500 0.8953
12 Mg 0.7337 0.2500 0.6586
13 Mg 0.9251 0.7500 0.1788
14 Mg 0.9279 0.7500 0.4271
15 Mg 0.9492 0.7500 0.9323
16 Mg 0.9755 0.7500 0.6842
17 Hg 0.2661 0.7500 0.5700
18 Hg 0.2722 0.7500 0.8699
19 Hg 0.3485 0.2500 0.2356
20 Hg 0.3971 0.2500 0.7352
21 Hg 0.6029 0.7500 0.2648
22 Hg 0.6515 0.7500 0.7644
23 Hg 0.7278 0.2500 0.1301
24 Hg 0.7339 0.2500 0.4300

Peak list (6 most intense, 10° ≤ 2θ ≤ 80°, in order of falling intensity)
2theta	d/Å	Rel. int.
37.5	2.397	100
37.9	2.375	49
11.0	8.039	49
35.0	2.564	47
26.4	3.380	32
14.3	6.183	30


# 9
This entry pairs a crystal structure of Mg3Hg2Mo2 with its simulated powder XRD pattern. Radiation: Cu Kα (weighted mean of Kα1 and Kα2). Structure: DFT lattice parameters and positions (GGA-PBE).
Peak positions follow from Bragg's law for the DFT cell and can differ from measured ones.

Structure:
a = 8.1778 Å, b = 8.1778 Å, c = 8.1778 Å
α = 32.41°, β = 32.41°, γ = 32.41°
Atoms (fractional coordinates):
1 Mg 0.0000 0.0000 0.0000
2 Mg 0.2445 0.2445 0.2445
3 Mg 0.5007 0.5007 0.5007
4 Hg 0.1229 0.1229 0.1229
5 Hg 0.6207 0.6207 0.6207
6 Mo 0.3798 0.3798 0.3798
7 Mo 0.7397 0.7397 0.7397

Peak list (6 most intense, 10° ≤ 2θ ≤ 80°, in order of falling intensity)
2theta	d/Å	Rel. int.
38.5	2.340	100
39.5	2.282	97
23.8	3.742	80
27.3	3.268	59
11.4	7.742	37
70.9	1.329	33


# 10
This entry pairs a crystal structure of NdY2Mg3Tl2Hg with its simulated powder XRD pattern. Radiation: Cu Kα (weighted mean of Kα1 and Kα2). Structure: DFT lattice parameters and positions (GGA-PBE).
Peak positions follow from Bragg's law for the DFT cell and can differ from measured ones.

Structure:
a = 4.6400 Å, b = 7.6037 Å, c = 7.6037 Å
α = 120.65°, β = 90.00°, γ = 90.00°
Atoms (fractional coordinates):
1 Nd 0.0000 0.0000 0.0000
2 Y 0.0000 0.4187 0.8381
3 Y 0.0000 0.8381 0.4187
4 Mg 0.5000 0.1829 0.4206
5 Mg 0.5000 0.4206 0.1829
6 Mg 0.5000 0.6598 0.6598
7 Tl 0.5000 0.0878 0.7490
8 Tl 0.5000 0.7490 0.0878
9 Hg 0.0000 0.4277 0.4277

Peak list (6 most intense, 10° ≤ 2θ ≤ 80°, in order of falling intensity)
2theta	d/Å	Rel. int.
33.5	2.673	100
23.4	3.800	93
41.4	2.179	52
30.4	2.941	49
33.3	2.691	49
38.8	2.320	40


# 11
This entry pairs a crystal structure of Tm3Mg3Hg2Pt with its simulated powder XRD pattern. Radiation: Cu Kα (weighted mean of Kα1 and Kα2). Structure: DFT lattice parameters and positions (GGA-PBE).
Peak positions follow from Bragg's law for the DFT cell and can differ from measured ones.

Structure:
a = 7.5365 Å, b = 7.5365 Å, c = 4.1955 Å
α = 90.00°, β = 90.00°, γ = 120.00°
Atoms (fractional coordinates):
1 Tm 0.0000 0.6049 0.0000
2 Tm 0.3951 0.3951 0.0000
3 Tm 0.6049 0.0000 0.0000
4 Mg 0.0000 0.2381 0.5000
5 Mg 0.2381 0.0000 0.5000
6 Mg 0.7619 0.7619 0.5000
7 Hg 0.3333 0.6667 0.5000
8 Hg 0.6667 0.3333 0.5000
9 Pt 0.0000 0.0000 0.0000

Peak list (6 most intense, 10° ≤ 2θ ≤ 80°, in order of falling intensity)
2theta	d/Å	Rel. int.
34.8	2.576	100
31.9	2.803	96
23.6	3.768	66
41.5	2.176	57
42.5	2.127	47
61.4	1.510	36